Diffraction record for KTmO3. The PXRD pattern is simulated, not measured: it uses DFT lattice parameters and positions (GGA-PBE) and λ = 1.5418 Å (Cu Kα).

Cell and atoms:
abc: 4.412 4.412 4.412
angles: 90.00 90.00 90.00
Space group Pm-3m (No. 221)
Symmetry-distinct sites (fractional):
K 0.000 0.000 0.000 [1 per cell]
Tm 0.500 0.500 0.500 [1 per cell]
O 0.000 0.500 0.500 [3 per cell]

Top 8 peaks for 2θ = 10–80°, low angle first:
2θ/deg  I (rel.)  (hkl)
20.12  658  1 0 0
28.61  1000  1 1 0
40.91  339  2 0 0
45.99  313  2 1 0
50.68  413  2 1 1
59.23  211  2 2 0
63.22  152  3 0 0
67.08  179  3 1 0

---

Diffraction record for KBrO4. The PXRD pattern is simulated, not measured: it uses DFT lattice parameters and positions (GGA-PBE) and λ = 1.5418 Å (Cu Kα).

Cell and atoms:
abc: 9.178 6.076 7.700
angles: 90.00 90.00 90.00
Space group Pnma (No. 62)
Symmetry-distinct sites (fractional):
K 0.178 0.250 0.163 [4 per cell]
Br 0.070 0.250 0.684 [4 per cell]
O 0.081 0.029 0.809 [8 per cell]
O 0.086 0.750 0.421 [4 per cell]
O 0.208 0.250 0.547 [4 per cell]

Top 8 peaks for 2θ = 10–80°, low angle first:
2θ/deg  I (rel.)  (hkl)
18.60  746  0 1 1
22.56  377  2 0 1
23.10  366  0 0 2
24.31  1000  2 1 0
26.96  887  2 1 1
29.13  936  1 1 2
29.40  534  0 2 0
41.05  404  4 0 1